Record 1
This entry pairs a crystal structure of B2Ru with its computed powder diffraction line list. Radiation: a wavelength of 1.5418 Å. Structure: the PBE geometry in the Materials Project.

Structure:
```
B2Ru
1.0
2.8831 0.0000 0.0000
0.0000 4.6668 0.0000
0.0000 0.0000 4.0552
B Ru
4 2
Direct
0.2500 0.0539 0.1364
0.2500 0.4461 0.1364
0.7500 0.5539 0.8636
0.7500 0.9461 0.8636
0.2500 0.2500 0.6517
0.7500 0.7500 0.3483
```

Main lines, by angle (5° ≤ 2θ ≤ 70°):
| Position (°2θ) | I/Imax |
| --- | --- |
| 21.92 | 36.1 |
| 29.17 | 100.0 |
| 36.64 | 99.5 |
| 38.30 | 39.1 |
| 38.58 | 30.4 |
| 43.10 | 34.0 |
| 48.98 | 37.9 |
| 55.40 | 30.7 |
| 55.50 | 42.2 |
| 69.54 | 23.7 |



Record 2
This entry pairs a crystal structure of ThCrB4 with its computed powder diffraction line list. Radiation: a wavelength of 1.5418 Å. Structure: the PBE geometry in the Materials Project.

Structure:
```
ThCrB4
1.0
6.0405 0.0000 0.0000
0.0000 11.6796 0.0000
0.0000 0.0000 3.6325
Th Cr B
4 4 16
Direct
0.1233 0.1512 0.0000
0.3767 0.6512 0.0000
0.6233 0.3488 0.0000
0.8767 0.8488 0.0000
0.1229 0.4180 0.0000
0.3771 0.9180 0.0000
0.6229 0.0820 0.0000
0.8771 0.5820 0.0000
0.0242 0.6876 0.5000
0.1107 0.5448 0.5000
0.1429 0.9669 0.5000
0.2237 0.8185 0.5000
0.2763 0.3185 0.5000
0.3571 0.4669 0.5000
0.3893 0.0448 0.5000
0.4758 0.1876 0.5000
0.5242 0.8124 0.5000
0.6107 0.9552 0.5000
0.6429 0.5331 0.5000
0.7237 0.6815 0.5000
0.7763 0.1815 0.5000
0.8571 0.0331 0.5000
0.8893 0.4552 0.5000
0.9758 0.3124 0.5000
```

Main lines, by angle (5° ≤ 2θ ≤ 70°):
| Position (°2θ) | I/Imax |
| --- | --- |
| 21.16 | 41.1 |
| 24.51 | 72.7 |
| 27.25 | 41.6 |
| 30.59 | 84.7 |
| 32.60 | 35.5 |
| 36.97 | 44.8 |
| 39.58 | 100.0 |
| 42.45 | 21.6 |
| 55.82 | 19.2 |
| 59.97 | 26.0 |



Record 3
This entry pairs a crystal structure of CuH2CBrN2 with its computed powder diffraction line list. Radiation: a wavelength of 1.5418 Å. Structure: the PBE geometry in the Materials Project.

Structure:
```
CuH2CBrN2
1.0
8.6206 0.0000 0.0000
0.0000 3.9442 0.0000
0.0000 0.0000 13.4231
Cu H C Br N
4 8 4 4 8
Direct
0.1166 0.2500 0.0531
0.3834 0.7500 0.5531
0.6166 0.2500 0.4469
0.8834 0.7500 0.9469
0.1339 0.2500 0.2858
0.1933 0.2500 0.4102
0.3067 0.7500 0.9102
0.3661 0.7500 0.7858
0.6339 0.2500 0.2142
0.6933 0.2500 0.0898
0.8067 0.7500 0.5898
0.8661 0.7500 0.7142
0.0398 0.7500 0.6128
0.4602 0.2500 0.1128
0.5398 0.7500 0.8872
0.9602 0.2500 0.3872
0.0330 0.2500 0.8731
0.4670 0.7500 0.3731
0.5330 0.2500 0.6269
0.9670 0.7500 0.1269
0.1056 0.2500 0.3594
0.1705 0.7500 0.5876
0.3295 0.2500 0.0876
0.3944 0.7500 0.8594
0.6056 0.2500 0.1406
0.6705 0.7500 0.9124
0.8295 0.2500 0.4124
0.8944 0.7500 0.6406
```

Main lines, by angle (5° ≤ 2θ ≤ 70°):
| Position (°2θ) | I/Imax |
| --- | --- |
| 12.20 | 100.0 |
| 13.19 | 22.1 |
| 20.61 | 18.7 |
| 25.71 | 21.3 |
| 26.56 | 12.9 |
| 28.21 | 27.1 |
| 30.73 | 18.2 |
| 39.37 | 12.6 |
| 46.02 | 13.2 |
| 47.92 | 20.4 |



Record 4
This entry pairs a crystal structure of BaLiMg6 with its computed powder diffraction line list. Radiation: a wavelength of 1.5418 Å. Structure: the PBE geometry in the Materials Project.

Structure:
```
BaLiMg6
1.0
5.1743 0.0000 0.0000
0.0000 3.2841 6.5585
0.0000 -3.2841 6.5585
Ba Li Mg
1 1 6
Direct
0.0000 0.0000 0.0000
0.5000 0.1682 0.1682
0.0000 0.4343 0.4343
0.0000 0.4952 0.9721
0.0000 0.9721 0.4952
0.5000 0.1095 0.6105
0.5000 0.6056 0.6056
0.5000 0.6105 0.1095
```

Main lines, by angle (5° ≤ 2θ ≤ 70°):
| Position (°2θ) | I/Imax |
| --- | --- |
| 13.50 | 43.5 |
| 15.09 | 58.2 |
| 17.14 | 44.6 |
| 22.91 | 91.0 |
| 24.46 | 40.7 |
| 30.02 | 48.7 |
| 30.44 | 66.7 |
| 32.31 | 100.0 |
| 34.67 | 41.8 |
| 35.14 | 88.1 |



Record 5
This entry pairs a crystal structure of Pm3Hf with its computed powder diffraction line list. Radiation: a wavelength of 1.5418 Å. Structure: the PBE geometry in the Materials Project.

Structure:
```
Pm3Hf
1.0
-2.4848 2.4848 4.9529
2.4848 -2.4848 4.9529
2.4848 2.4848 -4.9529
Pm Hf
3 1
Direct
0.0000 0.0000 0.0000
0.2500 0.7500 0.5000
0.7500 0.2500 0.5000
0.5000 0.5000 0.0000
```

Main lines, by angle (5° ≤ 2θ ≤ 70°):
| Position (°2θ) | I/Imax |
| --- | --- |
| 19.99 | 0.6 |
| 31.21 | 100.0 |
| 36.15 | 33.8 |
| 36.28 | 16.7 |
| 52.11 | 35.8 |
| 61.95 | 28.3 |
| 62.12 | 14.1 |
| 65.09 | 12.2 |